Diffraction record for Co2GeSe3. The powder XRD pattern is computed, not measured: it uses a crystal structure in OQMD, relaxed with GGA-PBE and Cu Kα (weighted mean of Kα1 and Kα2).
Kinematic intensities with the Lorentz-polarization factor, no thermal factor.

Largest 6 diffraction maxima, sorted by position, 2θ = 15–90°:
34.69°, I = 100; 36.79°, I = 76; 38.29°, I = 94; 52.31°, I = 34; 58.43°, I = 37; 62.23°, I = 29

```
Co2GeSe3
1.0
1.749 -6.266 0.000
1.749 6.266 0.000
0.000 0.000 9.773
Co Ge Se
4 2 6
Cartesian
0.000 0.000 0.000
0.000 0.000 4.886
1.749 0.713 7.330
1.749 -0.713 2.443
1.749 3.631 2.443
1.749 -3.631 7.330
1.749 5.457 7.330
1.749 1.631 5.207
1.749 1.631 9.452
1.749 -1.631 0.321
1.749 -1.631 4.566
1.749 -5.457 2.443
```

Diffraction record for SrLiDySe3. The powder XRD pattern is computed, not measured: it uses a crystal structure in OQMD, relaxed with GGA-PBE and Cu Kα (weighted mean of Kα1 and Kα2).
Kinematic intensities with the Lorentz-polarization factor, no thermal factor.

Largest 6 diffraction maxima, sorted by position, 2θ = 15–90°:
21.16°, I = 29; 29.88°, I = 100; 31.20°, I = 49; 31.68°, I = 30; 36.60°, I = 36; 43.76°, I = 75

```
SrLiDySe3
1.0
8.873 -2.067 0.000
8.873 2.067 0.000
-2.128 0.000 8.394
Sr Li Dy Se
2 2 2 6
Cartesian
2.227 0.000 0.553
13.392 0.000 7.842
8.089 0.000 2.497
7.529 0.000 5.898
1.694 0.000 4.924
13.924 0.000 3.470
-1.064 0.000 4.197
5.367 0.000 1.537
4.534 0.000 5.402
8.873 0.000 0.000
11.085 0.000 2.992
10.252 0.000 6.857
```

Diffraction record for AlGaHgTe2S2. The powder XRD pattern is computed, not measured: it uses a crystal structure in OQMD, relaxed with GGA-PBE and Cu Kα (weighted mean of Kα1 and Kα2).
Kinematic intensities with the Lorentz-polarization factor, no thermal factor.

Largest 6 diffraction maxima, sorted by position, 2θ = 15–90°:
16.16°, I = 41; 21.45°, I = 66; 26.02°, I = 100; 26.98°, I = 68; 44.26°, I = 35; 45.14°, I = 37

```
AlGaHgTe2S2
1.0
8.292 0.000 0.000
0.000 10.967 0.000
-3.964 0.000 4.385
Al Ga Hg Te S
2 2 2 4 4
Cartesian
0.000 0.000 0.000
4.146 5.483 0.000
-1.982 2.416 2.193
2.164 7.899 2.193
-1.982 8.039 2.193
2.164 2.556 2.193
-2.063 4.098 4.242
2.246 9.581 0.143
2.083 9.581 4.242
6.392 4.098 0.143
-0.098 1.052 2.021
0.281 6.536 2.365
4.048 6.536 2.021
4.427 1.052 2.365
```

Diffraction record for HfZr2Ni2As4Pd2. The powder XRD pattern is computed, not measured: it uses a crystal structure in OQMD, relaxed with GGA-PBE and Cu Kα (weighted mean of Kα1 and Kα2).
Kinematic intensities with the Lorentz-polarization factor, no thermal factor.

Largest 6 diffraction maxima, sorted by position, 2θ = 15–90°:
36.05°, I = 62; 36.13°, I = 61; 37.83°, I = 100; 38.21°, I = 44; 42.77°, I = 75; 46.93°, I = 64

```
HfZr2Ni2As4Pd2
1.0
6.510 0.000 0.000
0.000 3.872 0.000
-0.162 0.000 7.570
Hf Zr Ni As Pd
1 2 2 4 2
Cartesian
0.000 0.000 0.000
2.781 1.936 3.760
6.005 1.936 4.785
1.974 1.936 6.582
3.894 0.000 5.735
1.447 0.000 5.320
1.644 1.936 1.311
4.398 1.936 7.031
4.585 0.000 3.359
0.713 0.000 2.810
5.403 1.936 1.839
```

Diffraction record for ErSeClO4. The powder XRD pattern is computed, not measured: it uses a crystal structure in OQMD, relaxed with GGA-PBE and Cu Kα (weighted mean of Kα1 and Kα2).
Kinematic intensities with the Lorentz-polarization factor, no thermal factor.

Largest 6 diffraction maxima, sorted by position, 2θ = 15–90°:
18.67°, I = 58; 25.52°, I = 100; 26.23°, I = 56; 30.15°, I = 55; 30.83°, I = 61; 47.99°, I = 45

```
ErSeClO4
1.0
4.926 -3.490 0.000
4.926 3.490 0.000
-1.723 0.000 6.335
Er Se Cl O
2 2 2 8
Cartesian
1.966 0.000 0.750
6.163 0.000 5.585
2.328 0.000 4.611
5.801 0.000 1.724
-1.161 0.000 4.820
9.290 0.000 1.515
1.541 1.259 5.421
1.946 0.000 3.027
4.192 0.000 1.450
1.541 -1.259 5.421
6.588 1.259 0.914
3.937 0.000 4.884
6.183 0.000 3.308
6.588 -1.259 0.914
```

Diffraction record for Sr2As2IrPt. The powder XRD pattern is computed, not measured: it uses a crystal structure in OQMD, relaxed with GGA-PBE and Cu Kα (weighted mean of Kα1 and Kα2).
Kinematic intensities with the Lorentz-polarization factor, no thermal factor.

Largest 6 diffraction maxima, sorted by position, 2θ = 15–90°:
20.63°, I = 45; 27.68°, I = 55; 28.44°, I = 100; 28.60°, I = 99; 49.32°, I = 44; 49.63°, I = 43

```
Sr2As2IrPt
1.0
4.530 0.000 0.000
0.000 4.585 0.000
0.000 0.000 8.612
Sr As Ir Pt
2 2 1 1
Cartesian
0.000 0.000 2.118
0.000 0.000 6.494
0.000 2.292 0.000
2.265 0.000 4.306
2.265 2.292 0.000
2.265 2.292 4.306
```

Diffraction record for DyTmNO. The powder XRD pattern is computed, not measured: it uses a crystal structure in OQMD, relaxed with GGA-PBE and Cu Kα (weighted mean of Kα1 and Kα2).
Kinematic intensities with the Lorentz-polarization factor, no thermal factor.

Largest 6 diffraction maxima, sorted by position, 2θ = 15–90°:
32.52°, I = 100; 37.57°, I = 25; 37.80°, I = 48; 54.35°, I = 33; 64.95°, I = 29; 68.11°, I = 17

```
DyTmNO
1.0
3.366 0.000 0.000
0.000 3.366 0.000
0.000 0.000 4.788
Dy Tm N O
1 1 1 1
Cartesian
0.000 0.000 0.000
1.683 1.683 2.394
1.683 1.683 0.000
0.000 0.000 2.394
```